(1)
For CrCd2Fe, a cell relaxed with PBE gives the calculated XRD peak list in this record (Cu Kα).

The 10 most intense peaks (2θ = 10–80°), by angle:
h k l	2theta	Rel. int.
0 2 0	22.64	108
2 0 0	30.21	107
2 2 0	38.08	1000
2 0 1	43.25	343
0 4 0	46.24	140
2 2 1	49.36	56
0 0 2	62.73	53
2 4 1	65.16	187
2 2 2	75.82	118
4 2 1	75.95	118

Structure:
```
data_CrCd2Fe
_chemical_formula_sum 'Cr2 Cd4 Fe2'
_space_group_name_H-M_alt 'C m m m'
_space_group_IT_number 65
_space_group_name_Hall '-C 2 2'
_cell_length_a 5.908
_cell_length_b 7.854
_cell_length_c 2.962
_cell_angle_alpha 90.00
_cell_angle_beta 90.00
_cell_angle_gamma 90.00
loop_
_atom_site_label
_atom_site_type_symbol
_atom_site_fract_x
_atom_site_fract_y
_atom_site_fract_z
Cr1 Cr 0.000 0.000 0.000
Cd1 Cd 0.250 0.250 0.500
Fe1 Fe 0.000 0.500 0.000
```

(2)
For Sn2Hg3Cl4, a cell relaxed with PBE gives the calculated XRD peak list in this record (Cu Kα).

The 10 most intense peaks (2θ = 10–80°), by angle:
h k l	2theta	Rel. int.
0 2 0	10.53	1000
2 2 0	16.53	538
0 2 1	18.37	238
2 4 0	24.77	219
2 4 1	29.88	207
1 1 -2	30.69	245
5 1 0	32.69	460
3 5 -1	35.40	384
3 3 -2	37.76	276
2 6 1	38.47	226

Structure:
```
data_Sn2Hg3Cl4
_chemical_formula_sum 'Sn8 Hg12 Cl16'
_space_group_name_H-M_alt 'C 1 2/c 1'
_space_group_IT_number 15
_cell_length_a 13.979
_cell_length_b 16.807
_cell_length_c 5.942
_cell_angle_alpha 90.00
_cell_angle_beta 96.71
_cell_angle_gamma 90.00
loop_
_space_group_symop_operation_xyz
'x,y,z'
'-x,-y,-z'
'-x,y,-z+1/2'
'x,-y,z+1/2'
'x+1/2,y+1/2,z'
'-x+1/2,-y+1/2,-z'
'-x+1/2,y+1/2,-z+1/2'
'x+1/2,-y+1/2,z+1/2'
loop_
_atom_site_label
_atom_site_type_symbol
_atom_site_fract_x
_atom_site_fract_y
_atom_site_fract_z
Sn1 Sn 0.216 0.136 0.411
Hg1 Hg 0.000 0.053 0.250
Hg2 Hg 0.102 0.472 0.643
Cl1 Cl 0.128 0.275 0.453
Cl2 Cl 0.196 0.093 0.806
```